1.
Starting from the GGA-PBE geometry in Alexandria, the powder diffraction line list of Ce4Sb3N2 was calculated for Cu Kα X-rays.
Intensities are scaled so that the largest is 100.

Crystal structure
```
data_Ce4Sb3N2
_symmetry_space_group_name_H-M 'C 1 2/m 1'
_symmetry_Int_Tables_number 12
_cell_length_a 13.587
_cell_length_b 4.186
_cell_length_c 9.283
_cell_angle_alpha 90.00
_cell_angle_beta 121.11
_cell_angle_gamma 90.00
loop_
_symmetry_equiv_pos_as_xyz
'x,y,z'
'-x,-y,-z'
'-x,y,-z'
'x,-y,z'
'x+1/2,y+1/2,z'
'-x+1/2,-y+1/2,-z'
'-x+1/2,y+1/2,-z'
'x+1/2,-y+1/2,z'
loop_
_atom_site_label
_atom_site_fract_x
_atom_site_fract_y
_atom_site_fract_z
Ce1 0.121 0.000 0.408
Ce2 0.195 0.500 0.132
Sb1 0.000 0.000 0.000
Sb2 0.104 0.500 0.705
N1 0.195 0.500 0.366
```

Peak list (10 most intense, 2θ = 10–80°, sorted by position)
2θ = 28.93°, 3.086 Å, intensity 56, (2 0 -3)
2θ = 29.05°, 3.073 Å, intensity 100, (3 1 -1)
2θ = 34.76°, 2.581 Å, intensity 66, (1 1 2)
2θ = 38.05°, 2.365 Å, intensity 20, (4 0 1)
2θ = 39.83°, 2.263 Å, intensity 12, (6 0 -2)
2θ = 43.22°, 2.093 Å, intensity 21, (0 2 0)
2θ = 47.37°, 1.919 Å, intensity 24, (5 1 -4)
2θ = 52.85°, 1.732 Å, intensity 20, (2 2 -3)
2θ = 58.70°, 1.573 Å, intensity 14, (1 1 -5)
2θ = 58.92°, 1.567 Å, intensity 11, (4 2 1)

2.
Starting from the GGA-PBE geometry in Alexandria, the powder diffraction line list of Ce7Sb3N2 was calculated for Cu Kα X-rays.
Intensities are scaled so that the largest is 100.

Crystal structure
```
data_Ce7Sb3N2
_symmetry_space_group_name_H-M 'C m m m'
_symmetry_Int_Tables_number 65
_symmetry_space_group_name_Hall '-C 2 2'
_cell_length_a 4.894
_cell_length_b 24.720
_cell_length_c 4.783
_cell_angle_alpha 90.00
_cell_angle_beta 90.00
_cell_angle_gamma 90.00
loop_
_atom_site_label
_atom_site_fract_x
_atom_site_fract_y
_atom_site_fract_z
Ce1 0.000 0.000 0.000
Ce2 0.000 0.094 0.500
Ce3 0.000 0.200 0.000
Ce4 0.000 0.404 0.000
Sb1 0.000 0.311 0.500
Sb2 0.000 0.500 0.500
N1 0.000 0.102 0.000
```

Peak list (10 most intense, 2θ = 10–80°, sorted by position)
2θ = 31.81°, 2.813 Å, intensity 100, (1 5 1)
2θ = 36.34°, 2.472 Å, intensity 17, (0 10 0)
2θ = 36.72°, 2.447 Å, intensity 19, (2 0 0)
2θ = 37.61°, 2.391 Å, intensity 18, (0 0 2)
2θ = 52.63°, 1.739 Å, intensity 12, (2 10 0)
2θ = 53.30°, 1.719 Å, intensity 11, (0 10 2)
2θ = 53.58°, 1.710 Å, intensity 13, (2 0 2)
2θ = 63.07°, 1.474 Å, intensity 14, (3 5 1)
2θ = 64.28°, 1.449 Å, intensity 13, (1 5 3)
2θ = 66.47°, 1.407 Å, intensity 12, (2 10 2)

3.
Starting from the GGA-PBE geometry in Alexandria, the powder diffraction line list of Ce2SmSbN2 was calculated for Cu Kα X-rays.
Intensities are scaled so that the largest is 100.

Crystal structure
```
data_Ce2SmSbN2
_symmetry_space_group_name_H-M 'P 4/m m m'
_symmetry_Int_Tables_number 123
_symmetry_space_group_name_Hall '-P 4 2'
_cell_length_a 4.531
_cell_length_b 4.531
_cell_length_c 6.597
_cell_angle_alpha 90.00
_cell_angle_beta 90.00
_cell_angle_gamma 90.00
loop_
_atom_site_label
_atom_site_fract_x
_atom_site_fract_y
_atom_site_fract_z
Ce1 0.000 0.000 0.228
Sm1 0.500 0.500 0.000
Sb1 0.500 0.500 0.500
N1 0.000 0.500 0.000
```

Peak list (10 most intense, 2θ = 10–80°, sorted by position)
2θ = 13.42°, 6.597 Å, intensity 8, (0 0 1)
2θ = 27.85°, 3.204 Å, intensity 76, (1 1 0)
2θ = 33.61°, 2.667 Å, intensity 100, (1 0 2)
2θ = 39.79°, 2.266 Å, intensity 36, (2 0 0)
2θ = 53.04°, 1.727 Å, intensity 54, (2 1 2)
2θ = 57.53°, 1.602 Å, intensity 12, (2 2 0)
2θ = 63.43°, 1.466 Å, intensity 13, (1 1 4)
2θ = 65.10°, 1.433 Å, intensity 14, (3 1 0)
2θ = 68.30°, 1.373 Å, intensity 13, (3 0 2)
2θ = 70.64°, 1.333 Å, intensity 11, (2 0 4)

Number 1 is which compound?
Ce4Sb3N2